No. 1
The following is a theoretical X-ray powder pattern of Mg2Sn2Pd3. It was derived from a crystal structure in OQMD, relaxed with GGA-PBE, using λ = 1.5418 Å (Cu Kα).

Crystal structure
```
data_Mg2Sn2Pd3
_chemical_formula_sum 'Mg6 Sn6 Pd9'
_space_group_name_H-M_alt 'R 3 m'
_space_group_IT_number 160
_space_group_name_Hall 'R 3 -2"'
_cell_length_a 4.5535
_cell_length_b 4.5535
_cell_length_c 22.0549
_cell_angle_alpha 90.00
_cell_angle_beta 90.00
_cell_angle_gamma 120.00
loop_
_atom_site_label
_atom_site_type_symbol
_atom_site_fract_x
_atom_site_fract_y
_atom_site_fract_z
Mg1 Mg 0.0000 0.0000 0.0000
Mg2 Mg 0.0000 0.0000 0.4908
Sn1 Sn 0.0000 0.0000 0.2415
Sn2 Sn 0.0000 0.0000 0.7476
Pd1 Pd 0.0000 0.0000 0.3677
Pd2 Pd 0.0000 0.0000 0.6198
Pd3 Pd 0.0000 0.0000 0.8722
```

Most intense lines, 10 to 90 degrees two-theta, sorted by position:
index	2θ/deg	I/Imax
0 0 3	12.0	18
1 0 1	22.9	11
0 1 2	24.0	46
0 0 6	24.2	15
1 1 0	39.6	100
0 1 8	39.9	96
1 1 6	46.9	16
2 0 8	57.5	33
3 0 0	71.8	17
1 2 8	72.0	34
1 0 16	72.7	16
2 2 0	85.3	11

---

No. 2
The following is a theoretical X-ray powder pattern of MgTlPd6. It was derived from a crystal structure in OQMD, relaxed with GGA-PBE, using λ = 1.5418 Å (Cu Kα).

Crystal structure
```
data_MgTlPd6
_chemical_formula_sum 'Mg2 Tl2 Pd12'
_space_group_name_H-M_alt 'I 4 m m'
_space_group_IT_number 107
_space_group_name_Hall 'I 4 -2'
_cell_length_a 4.080
_cell_length_b 4.080
_cell_length_c 15.543
_cell_angle_alpha 90.00
_cell_angle_beta 90.00
_cell_angle_gamma 90.00
loop_
_atom_site_label
_atom_site_type_symbol
_atom_site_fract_x
_atom_site_fract_y
_atom_site_fract_z
Mg1 Mg 0.000 0.000 0.000
Tl1 Tl 0.000 0.000 0.249
Pd1 Pd 0.000 0.000 0.499
Pd2 Pd 0.000 0.000 0.750
Pd3 Pd 0.000 0.500 0.120
Pd4 Pd 0.000 0.500 0.379
```

Most intense lines, 10 to 90 degrees two-theta, sorted by position:
index	2θ/deg	I/Imax
0 0 2	11.4	13
1 0 1	22.5	8
1 0 3	27.8	5
1 1 2	33.1	8
1 1 4	38.9	100
2 0 0	44.4	34
0 0 8	46.8	14
2 2 0	64.6	11
2 0 8	66.5	20
3 1 4	78.0	25
1 1 12	81.4	11
2 2 8	83.5	11

---

No. 3
The following is a theoretical X-ray powder pattern of Mg2Zr2Pd3. It was derived from a crystal structure in OQMD, relaxed with GGA-PBE, using λ = 1.5418 Å (Cu Kα).

Crystal structure
```
data_Mg2Zr2Pd3
_chemical_formula_sum 'Mg6 Zr6 Pd9'
_space_group_name_H-M_alt 'R 3 m'
_space_group_IT_number 160
_space_group_name_Hall 'R 3 -2"'
_cell_length_a 4.5691
_cell_length_b 4.5691
_cell_length_c 22.1070
_cell_angle_alpha 90.00
_cell_angle_beta 90.00
_cell_angle_gamma 120.00
loop_
_atom_site_label
_atom_site_type_symbol
_atom_site_fract_x
_atom_site_fract_y
_atom_site_fract_z
Mg1 Mg 0.0000 0.0000 0.0000
Mg2 Mg 0.0000 0.0000 0.4932
Zr1 Zr 0.0000 0.0000 0.2410
Zr2 Zr 0.0000 0.0000 0.7491
Pd1 Pd 0.0000 0.0000 0.3684
Pd2 Pd 0.0000 0.0000 0.6219
Pd3 Pd 0.0000 0.0000 0.8727
```

Most intense lines, 10 to 90 degrees two-theta, sorted by position:
index	2θ/deg	I/Imax
0 0 3	12.0	21
1 0 1	22.8	14
0 1 2	23.9	36
0 0 6	24.2	11
1 1 0	39.4	100
0 1 8	39.8	95
1 1 6	46.8	11
2 0 8	57.3	32
3 0 0	71.5	16
1 2 8	71.8	32
1 0 16	72.5	14
2 2 0	84.9	10

---

No. 4
The following is a theoretical X-ray powder pattern of Pm3Mg2. It was derived from a crystal structure in OQMD, relaxed with GGA-PBE, using λ = 1.5418 Å (Cu Kα).

Crystal structure
```
data_Pm3Mg2
_chemical_formula_sum 'Pm18 Mg12'
_space_group_name_H-M_alt 'R -3 c'
_space_group_IT_number 167
_space_group_name_Hall '-R 3 2"c'
_cell_length_a 7.9610
_cell_length_b 7.9610
_cell_length_c 20.9181
_cell_angle_alpha 90.00
_cell_angle_beta 90.00
_cell_angle_gamma 120.00
loop_
_atom_site_label
_atom_site_type_symbol
_atom_site_fract_x
_atom_site_fract_y
_atom_site_fract_z
Pm1 Pm 0.0000 0.2999 0.2500
Mg1 Mg 0.0000 0.0000 0.1516
```

Most intense lines, 10 to 90 degrees two-theta, sorted by position:
index	2θ/deg	I/Imax
0 1 2	15.4	7
1 1 0	22.3	13
0 0 6	25.6	20
1 1 3	25.8	100
1 1 6	34.2	23
3 0 0	39.2	23
1 1 9	45.2	22
3 0 6	47.4	17
2 2 3	47.5	14
2 2 9	61.3	9
4 1 3	63.2	9
3 0 12	67.4	8

---

No. 5
The following is a theoretical X-ray powder pattern of Pm3MgSc2. It was derived from a crystal structure in OQMD, relaxed with GGA-PBE, using λ = 1.5418 Å (Cu Kα).

Crystal structure
```
data_Pm3MgSc2
_chemical_formula_sum 'Pm3 Mg1 Sc2'
_space_group_name_H-M_alt 'P -4 m 2'
_space_group_IT_number 115
_cell_length_a 4.649
_cell_length_b 4.649
_cell_length_c 8.277
_cell_angle_alpha 90.00
_cell_angle_beta 90.00
_cell_angle_gamma 90.00
loop_
_space_group_symop_operation_xyz
'x,y,z'
'y,-x,-z'
'-x,-y,z'
'-y,x,-z'
'-x,y,z'
'-y,-x,-z'
'x,-y,z'
'y,x,-z'
loop_
_atom_site_label
_atom_site_type_symbol
_atom_site_fract_x
_atom_site_fract_y
_atom_site_fract_z
Pm1 Pm 0.000 0.000 0.000
Pm2 Pm 0.000 0.500 0.665
Mg1 Mg 0.500 0.500 0.000
Sc1 Sc 0.000 0.500 0.268
```

Most intense lines, 10 to 90 degrees two-theta, sorted by position:
index	2θ/deg	I/Imax
1 0 1	21.9	74
1 1 0	27.1	25
1 0 2	28.9	66
1 1 1	29.2	100
0 0 3	32.4	42
1 1 2	34.9	91
2 0 0	38.7	65
2 1 1	45.0	24
2 1 2	49.0	31
2 0 3	51.4	46
2 2 0	55.9	22
3 1 2	67.6	25

---

No. 6
The following is a theoretical X-ray powder pattern of PmTh2Mg6. It was derived from a crystal structure in OQMD, relaxed with GGA-PBE, using λ = 1.5418 Å (Cu Kα).

Crystal structure
```
data_PmTh2Mg6
_chemical_formula_sum 'Pm1 Th2 Mg6'
_space_group_name_H-M_alt 'P m m m'
_space_group_IT_number 47
_cell_length_a 3.219
_cell_length_b 5.243
_cell_length_c 17.634
_cell_angle_alpha 90.00
_cell_angle_beta 90.00
_cell_angle_gamma 90.00
loop_
_space_group_symop_operation_xyz
'x,y,z'
'-x,-y,-z'
'-x,-y,z'
'x,y,-z'
'x,-y,-z'
'-x,y,z'
'-x,y,-z'
'x,-y,z'
loop_
_atom_site_label
_atom_site_type_symbol
_atom_site_fract_x
_atom_site_fract_y
_atom_site_fract_z
Pm1 Pm 0.000 0.000 0.000
Th1 Th 0.500 0.500 0.313
Mg1 Mg 0.000 0.500 0.146
Mg2 Mg 0.500 0.000 0.188
Mg3 Mg 0.500 0.500 0.000
Mg4 Mg 0.500 0.500 0.500
```

Most intense lines, 10 to 90 degrees two-theta, sorted by position:
index	2θ/deg	I/Imax
0 0 2	10.0	29
0 0 3	15.1	100
0 1 0	16.9	45
0 1 1	17.6	63
0 1 2	19.7	75
0 1 3	22.7	26
1 0 2	29.5	36
0 0 6	30.4	32
0 1 5	30.5	66
1 1 0	32.6	44
0 2 0	34.2	38
1 1 3	36.1	99

---

No. 7
The following is a theoretical X-ray powder pattern of Pr3Mg4. It was derived from a crystal structure in OQMD, relaxed with GGA-PBE, using λ = 1.5418 Å (Cu Kα).

Crystal structure
```
data_Pr3Mg4
_chemical_formula_sum 'Pr6 Mg8'
_space_group_name_H-M_alt 'P 63/m'
_space_group_IT_number 176
_space_group_name_Hall '-P 6c'
_cell_length_a 9.2606
_cell_length_b 9.2606
_cell_length_c 5.5096
_cell_angle_alpha 90.00
_cell_angle_beta 90.00
_cell_angle_gamma 120.00
loop_
_atom_site_label
_atom_site_type_symbol
_atom_site_fract_x
_atom_site_fract_y
_atom_site_fract_z
Pr1 Pr 0.0736 0.2652 0.2500
Mg1 Mg 0.1071 0.4965 0.7500
Mg2 Mg 0.3333 0.6667 0.2500
```

Most intense lines, 10 to 90 degrees two-theta, sorted by position:
index	2θ/deg	I/Imax
1 0 0	11.0	56
1 1 1	25.1	26
2 0 1	27.5	41
2 1 0	29.5	24
0 0 2	32.5	27
2 1 1	33.7	100
1 3 0	40.6	15
2 1 2	44.4	16
1 4 0	52.3	17
4 1 1	55.0	18
2 1 3	58.8	20
1 4 2	62.9	20

---

No. 8
The following is a theoretical X-ray powder pattern of TbPr2Mg3Pt3. It was derived from a crystal structure in OQMD, relaxed with GGA-PBE, using λ = 1.5418 Å (Cu Kα).

Crystal structure
```
data_TbPr2Mg3Pt3
_chemical_formula_sum 'Tb2 Pr4 Mg6 Pt6'
_space_group_name_H-M_alt 'A m m 2'
_space_group_IT_number 38
_cell_length_a 4.129
_cell_length_b 13.036
_cell_length_c 7.527
_cell_angle_alpha 90.00
_cell_angle_beta 90.00
_cell_angle_gamma 90.00
loop_
_space_group_symop_operation_xyz
'x,y,z'
'-x,-y,z'
'-x,y,z'
'x,-y,z'
'x,y+1/2,z+1/2'
'-x,-y+1/2,z+1/2'
'-x,y+1/2,z+1/2'
'x,-y+1/2,z+1/2'
loop_
_atom_site_label
_atom_site_type_symbol
_atom_site_fract_x
_atom_site_fract_y
_atom_site_fract_z
Tb1 Tb 0.000 0.000 0.000
Pr1 Pr 0.000 0.207 0.386
Mg1 Mg 0.500 0.000 0.349
Mg2 Mg 0.500 0.119 0.715
Pt1 Pt 0.000 0.000 0.599
Pt2 Pt 0.500 0.161 0.089
```

Most intense lines, 10 to 90 degrees two-theta, sorted by position:
index	2θ/deg	I/Imax
0 0 2	23.6	55
1 1 1	25.5	30
1 3 1	32.2	64
1 4 0	35.1	100
0 3 3	41.6	39
1 4 2	42.7	39
2 0 0	43.8	23
0 6 2	48.4	16
2 0 2	50.4	26
1 7 1	55.5	17
2 3 3	62.0	26
1 7 3	66.5	26

---

No. 9
The following is a theoretical X-ray powder pattern of PrMgSn2. It was derived from a crystal structure in OQMD, relaxed with GGA-PBE, using λ = 1.5418 Å (Cu Kα).

Crystal structure
```
data_PrMgSn2
_chemical_formula_sum 'Pr8 Mg8 Sn16'
_space_group_name_H-M_alt 'I -4 2 m'
_space_group_IT_number 121
_space_group_name_Hall 'I -4 2'
_cell_length_a 8.319
_cell_length_b 8.319
_cell_length_c 12.322
_cell_angle_alpha 90.00
_cell_angle_beta 90.00
_cell_angle_gamma 90.00
loop_
_atom_site_label
_atom_site_type_symbol
_atom_site_fract_x
_atom_site_fract_y
_atom_site_fract_z
Pr1 Pr 0.000 0.000 0.159
Pr2 Pr 0.000 0.500 0.250
Mg1 Mg 0.164 0.164 0.396
Sn1 Sn 0.000 0.321 0.000
Sn2 Sn 0.194 0.194 0.656
```

Most intense lines, 10 to 90 degrees two-theta, sorted by position:
index	2θ/deg	I/Imax
1 0 1	12.8	24
1 1 2	20.9	34
2 2 0	30.4	21
2 1 3	32.5	100
1 1 4	32.8	72
3 0 1	33.1	95
2 2 2	33.8	66
3 1 2	37.2	25
4 2 2	51.3	23
5 2 3	64.4	33
5 1 4	64.6	26
3 3 6	65.9	25

---

No. 10
The following is a theoretical X-ray powder pattern of PrTmMg2Sn2. It was derived from a crystal structure in OQMD, relaxed with GGA-PBE, using λ = 1.5418 Å (Cu Kα).

Crystal structure
```
data_PrTmMg2Sn2
_chemical_formula_sum 'Pr2 Tm2 Mg4 Sn4'
_space_group_name_H-M_alt 'I 4 m m'
_space_group_IT_number 107
_space_group_name_Hall 'I 4 -2'
_cell_length_a 4.451
_cell_length_b 4.451
_cell_length_c 16.043
_cell_angle_alpha 90.00
_cell_angle_beta 90.00
_cell_angle_gamma 90.00
loop_
_atom_site_label
_atom_site_type_symbol
_atom_site_fract_x
_atom_site_fract_y
_atom_site_fract_z
Pr1 Pr 0.000 0.000 0.000
Tm1 Tm 0.000 0.000 0.333
Mg1 Mg 0.000 0.500 0.169
Sn1 Sn 0.000 0.000 0.532
Sn2 Sn 0.000 0.000 0.801
```

Most intense lines, 10 to 90 degrees two-theta, sorted by position:
index	2θ/deg	I/Imax
0 0 2	11.0	29
0 0 4	22.2	42
1 1 0	28.4	100
1 1 2	30.5	37
0 0 6	33.5	26
1 0 5	34.5	34
1 1 4	36.3	83
2 0 0	40.5	56
1 1 6	44.5	29
2 0 4	46.7	25
2 0 6	53.6	27
3 1 4	71.0	40

---

No. 11
The following is a theoretical X-ray powder pattern of Pr2YMg4Tl2. It was derived from a crystal structure in OQMD, relaxed with GGA-PBE, using λ = 1.5418 Å (Cu Kα).

Crystal structure
```
data_Pr2YMg4Tl2
_chemical_formula_sum 'Pr4 Y2 Mg8 Tl4'
_space_group_name_H-M_alt 'A m m 2'
_space_group_IT_number 38
_cell_length_a 4.753
_cell_length_b 13.247
_cell_length_c 7.772
_cell_angle_alpha 90.00
_cell_angle_beta 90.00
_cell_angle_gamma 90.00
loop_
_space_group_symop_operation_xyz
'x,y,z'
'-x,-y,z'
'-x,y,z'
'x,-y,z'
'x,y+1/2,z+1/2'
'-x,-y+1/2,z+1/2'
'-x,y+1/2,z+1/2'
'x,-y+1/2,z+1/2'
loop_
_atom_site_label
_atom_site_type_symbol
_atom_site_fract_x
_atom_site_fract_y
_atom_site_fract_z
Pr1 Pr 0.000 0.214 0.000
Y1 Y 0.000 0.000 0.647
Mg1 Mg 0.000 0.000 0.224
Mg2 Mg 0.500 0.000 0.976
Mg3 Mg 0.500 0.121 0.338
Tl1 Tl 0.500 0.163 0.714
```

Most intense lines, 10 to 90 degrees two-theta, sorted by position:
index	2θ/deg	I/Imax
0 1 1	13.2	56
0 2 0	13.4	47
0 0 2	22.9	22
0 3 1	23.2	33
1 0 2	29.7	61
1 3 1	29.9	100
1 2 2	32.7	76
1 4 0	33.0	40
2 0 0	37.9	35
2 2 0	40.3	22
0 3 3	40.4	21
2 3 1	44.8	23

---

No. 12
The following is a theoretical X-ray powder pattern of Pr2YMg3Tl2Zn. It was derived from a crystal structure in OQMD, relaxed with GGA-PBE, using λ = 1.5418 Å (Cu Kα).

Crystal structure
```
data_Pr2YMg3Tl2Zn
_chemical_formula_sum 'Pr4 Y2 Mg6 Tl4 Zn2'
_space_group_name_H-M_alt 'A m m 2'
_space_group_IT_number 38
_cell_length_a 4.679
_cell_length_b 13.075
_cell_length_c 7.693
_cell_angle_alpha 90.00
_cell_angle_beta 90.00
_cell_angle_gamma 90.00
loop_
_space_group_symop_operation_xyz
'x,y,z'
'-x,-y,z'
'-x,y,z'
'x,-y,z'
'x,y+1/2,z+1/2'
'-x,-y+1/2,z+1/2'
'-x,y+1/2,z+1/2'
'x,-y+1/2,z+1/2'
loop_
_atom_site_label
_atom_site_type_symbol
_atom_site_fract_x
_atom_site_fract_y
_atom_site_fract_z
Pr1 Pr 0.000 0.205 0.000
Y1 Y 0.000 0.000 0.614
Mg1 Mg 0.500 0.000 0.974
Mg2 Mg 0.500 0.117 0.325
Tl1 Tl 0.500 0.163 0.705
Zn1 Zn 0.000 0.000 0.215
```

Most intense lines, 10 to 90 degrees two-theta, sorted by position:
index	2θ/deg	I/Imax
0 1 1	13.4	30
0 2 0	13.5	29
1 1 1	23.3	25
0 3 1	23.5	48
1 0 2	30.1	58
1 3 1	30.3	100
1 2 2	33.1	75
1 4 0	33.4	39
2 0 0	38.5	39
0 3 3	40.8	37
2 3 3	57.3	25
3 3 1	64.6	22

---

- What is the formula in the first record?
  Mg2Sn2Pd3

---

What did the fifth record say?
The following is a theoretical X-ray powder pattern of Pm3MgSc2. It was derived from a crystal structure in OQMD, relaxed with GGA-PBE, using λ = 1.5418 Å (Cu Kα).

Crystal structure
```
data_Pm3MgSc2
_chemical_formula_sum 'Pm3 Mg1 Sc2'
_space_group_name_H-M_alt 'P -4 m 2'
_space_group_IT_number 115
_cell_length_a 4.649
_cell_length_b 4.649
_cell_length_c 8.277
_cell_angle_alpha 90.00
_cell_angle_beta 90.00
_cell_angle_gamma 90.00
loop_
_space_group_symop_operation_xyz
'x,y,z'
'y,-x,-z'
'-x,-y,z'
'-y,x,-z'
'-x,y,z'
'-y,-x,-z'
'x,-y,z'
'y,x,-z'
loop_
_atom_site_label
_atom_site_type_symbol
_atom_site_fract_x
_atom_site_fract_y
_atom_site_fract_z
Pm1 Pm 0.000 0.000 0.000
Pm2 Pm 0.000 0.500 0.665
Mg1 Mg 0.500 0.500 0.000
Sc1 Sc 0.000 0.500 0.268
```

Most intense lines, 10 to 90 degrees two-theta, sorted by position:
index	2θ/deg	I/Imax
1 0 1	21.9	74
1 1 0	27.1	25
1 0 2	28.9	66
1 1 1	29.2	100
0 0 3	32.4	42
1 1 2	34.9	91
2 0 0	38.7	65
2 1 1	45.0	24
2 1 2	49.0	31
2 0 3	51.4	46
2 2 0	55.9	22
3 1 2	67.6	25